No. 1
This entry pairs a crystal structure of HgF with its theoretical powder XRD pattern. Radiation: λ = 1.5418 Å (Cu Kα). Structure: a PBE-relaxed structure.
Neutral-atom scattering factors, no anomalous dispersion.

Atomic structure:
Cell: 5.045 7.731 8.158 Å, 90.00 90.00 90.00°
Space group P2_12_12_1 (No. 19)
Inequivalent atoms, fractional coordinates:
Hg (0.186, 0.046, 0.012) [4 per cell]
Hg (0.193, 0.305, 0.582) [4 per cell]
F (0.020, 0.286, 0.875) [4 per cell]
F (0.033, 0.503, 0.206) [4 per cell]

Most intense lines, 2θ = 10–90°, in order of rising 2θ:
15.79°, I = 44
21.79°, I = 100
23.72°, I = 60
28.13°, I = 48
30.46°, I = 51
31.14°, I = 97
36.59°, I = 50
39.26°, I = 44
39.41°, I = 40
44.29°, I = 37

No. 2
This entry pairs a crystal structure of HgF3 with its theoretical powder XRD pattern. Radiation: λ = 1.5418 Å (Cu Kα). Structure: a PBE-relaxed structure.
Neutral-atom scattering factors, no anomalous dispersion.

Atomic structure:
Cell: 10.390 10.390 4.217 Å, 90.00 90.00 90.00°
Space group I-4 (No. 82)
Inequivalent atoms, fractional coordinates:
Hg (0.030, 0.244, 0.067) [8 per cell]
F (0.015, 0.645, 0.458) [8 per cell]
F (0.063, 0.118, 0.699) [8 per cell]
F (0.173, 0.766, 0.873) [8 per cell]

Most intense lines, 2θ = 10–90°, in order of rising 2θ:
22.76°, I = 68
24.23°, I = 100
27.14°, I = 21
28.58°, I = 77
34.53°, I = 37
37.81°, I = 44
41.76°, I = 58
46.48°, I = 22
48.86°, I = 27
58.28°, I = 20

No. 3
This entry pairs a crystal structure of Hg2F13 with its theoretical powder XRD pattern. Radiation: λ = 1.5418 Å (Cu Kα). Structure: a PBE-relaxed structure.
Neutral-atom scattering factors, no anomalous dispersion.

Atomic structure:
Cell: 4.927 6.701 8.027 Å, 66.84 79.13 71.72°
Space group P-1 (No. 2)
Inequivalent atoms, fractional coordinates:
Hg (0.212, 0.135, 0.226) [2 per cell]
F (0.000, 0.000, 0.500) [1 per cell]
F (0.152, 0.680, 0.882) [2 per cell]
F (0.179, 0.876, 0.166) [2 per cell]
F (0.228, 0.384, 0.291) [2 per cell]
F (0.350, 0.525, 0.524) [2 per cell]
F (0.420, 0.051, 0.671) [2 per cell]
F (0.447, 0.244, 0.950) [2 per cell]

Most intense lines, 2θ = 10–90°, in order of rising 2θ:
14.92°, I = 98
15.45°, I = 78
20.42°, I = 100
21.78°, I = 87
22.35°, I = 69
23.32°, I = 93
23.44°, I = 62
24.19°, I = 61
28.08°, I = 55
31.09°, I = 66